1.
La2Mg3AlPd2: simulated powder X-ray diffraction pattern (copper Kα), based on a DFT-relaxed cell (GGA-PBE, OQMD).
Neutral-atom scattering factors, no anomalous dispersion.

Principal peaks in the range 15 to 90 degrees two-theta, by intensity:
22.14°, d = 4.015 Å, intensity 100
34.82°, d = 2.577 Å, intensity 78
35.00°, d = 2.564 Å, intensity 72
21.92°, d = 4.054 Å, intensity 67
31.42°, d = 2.847 Å, intensity 65
31.29°, d = 2.859 Å, intensity 50

Structure:
a b c (Å): 10.326 4.408 8.031
angles (deg): 90.00 90.61 90.00
Fractional coordinates of all 16 atoms:
La: 0.000 0.000 0.000
La: 0.120 0.000 0.514
La: 0.500 0.500 0.000
La: 0.620 0.500 0.514
Mg: 0.212 0.500 0.816
Mg: 0.214 0.500 0.208
Mg: 0.407 0.000 0.317
Mg: 0.712 0.000 0.816
Mg: 0.714 0.000 0.208
Mg: 0.907 0.500 0.317
Al: 0.407 0.000 0.704
Al: 0.907 0.500 0.704
Pd: 0.287 0.000 0.000
Pd: 0.343 0.500 0.525
Pd: 0.787 0.500 0.000
Pd: 0.843 0.000 0.525

=====

2.
LaMgAlPt: simulated powder X-ray diffraction pattern (copper Kα), based on a DFT-relaxed cell (GGA-PBE, OQMD).
Neutral-atom scattering factors, no anomalous dispersion.

Principal peaks in the range 15 to 90 degrees two-theta, by intensity:
34.93°, d = 2.569 Å, intensity 100
23.21°, d = 3.832 Å, intensity 69
32.06°, d = 2.792 Å, intensity 52
36.58°, d = 2.457 Å, intensity 42
24.74°, d = 3.598 Å, intensity 41
48.85°, d = 1.864 Å, intensity 35

Structure:
a b c (Å): 4.432 10.374 7.665
angles (deg): 90.00 90.00 90.00
Fractional coordinates of all 16 atoms:
La: 0.000 0.062 0.000
La: 0.000 0.938 0.500
La: 0.500 0.438 0.500
La: 0.500 0.562 0.000
Mg: 0.000 0.348 0.817
Mg: 0.000 0.652 0.317
Mg: 0.500 0.152 0.317
Mg: 0.500 0.848 0.817
Al: 0.000 0.341 0.206
Al: 0.000 0.659 0.706
Al: 0.500 0.159 0.706
Al: 0.500 0.841 0.206
Pt: 0.000 0.219 0.513
Pt: 0.000 0.781 0.013
Pt: 0.500 0.281 0.013
Pt: 0.500 0.719 0.513

=====

3.
LaMgAlPt: simulated powder X-ray diffraction pattern (copper Kα), based on a DFT-relaxed cell (GGA-PBE, OQMD).
Neutral-atom scattering factors, no anomalous dispersion.

Principal peaks in the range 15 to 90 degrees two-theta, by intensity:
34.92°, d = 2.570 Å, intensity 100
23.14°, d = 3.843 Å, intensity 70
32.12°, d = 2.787 Å, intensity 51
36.37°, d = 2.470 Å, intensity 41
24.87°, d = 3.581 Å, intensity 40
48.78°, d = 1.867 Å, intensity 36

Structure:
a b c (Å): 7.686 4.390 10.435
angles (deg): 90.00 90.00 90.00
Fractional coordinates of all 16 atoms:
La: 0.000 0.000 0.000
La: 0.000 0.500 0.500
La: 0.500 0.000 0.125
La: 0.500 0.500 0.625
Mg: 0.303 0.000 0.407
Mg: 0.303 0.500 0.907
Mg: 0.697 0.000 0.407
Mg: 0.697 0.500 0.907
Al: 0.191 0.000 0.719
Al: 0.191 0.500 0.219
Al: 0.809 0.000 0.719
Al: 0.809 0.500 0.219
Pt: 0.000 0.000 0.273
Pt: 0.000 0.500 0.773
Pt: 0.500 0.000 0.833
Pt: 0.500 0.500 0.333

=====

4.
LaAlMo: simulated powder X-ray diffraction pattern (copper Kα), based on a DFT-relaxed cell (GGA-PBE, OQMD).
Neutral-atom scattering factors, no anomalous dispersion.

Principal peaks in the range 15 to 90 degrees two-theta, by intensity:
38.18°, d = 2.357 Å, intensity 100
26.75°, d = 3.333 Å, intensity 81
69.02°, d = 1.361 Å, intensity 34
62.29°, d = 1.491 Å, intensity 29
47.23°, d = 1.924 Å, intensity 23
55.11°, d = 1.667 Å, intensity 17

Structure:
a b c (Å): 6.666 6.666 6.666
angles (deg): 90.00 90.00 90.00
Fractional coordinates of all 12 atoms:
La: 0.000 0.000 0.000
La: 0.000 0.500 0.500
La: 0.500 0.000 0.500
La: 0.500 0.500 0.000
Al: 0.250 0.250 0.250
Al: 0.250 0.750 0.750
Al: 0.750 0.250 0.750
Al: 0.750 0.750 0.250
Mo: 0.000 0.000 0.500
Mo: 0.000 0.500 0.000
Mo: 0.500 0.000 0.000
Mo: 0.500 0.500 0.500

=====

5.
La5Al3Ni2: simulated powder X-ray diffraction pattern (copper Kα), based on a DFT-relaxed cell (GGA-PBE, OQMD).
Neutral-atom scattering factors, no anomalous dispersion.

Principal peaks in the range 15 to 90 degrees two-theta, by intensity:
30.39°, d = 2.941 Å, intensity 100
31.12°, d = 2.873 Å, intensity 76
34.35°, d = 2.611 Å, intensity 64
36.31°, d = 2.474 Å, intensity 56
33.63°, d = 2.665 Å, intensity 55
22.26°, d = 3.993 Å, intensity 53

Structure:
a b c (Å): 7.908 7.908 10.444
angles (deg): 90.00 90.00 51.59
Fractional coordinates of all 20 atoms:
La: 0.025 0.539 0.250
La: 0.110 0.890 0.750
La: 0.375 0.375 0.000
La: 0.375 0.375 0.500
La: 0.461 0.975 0.250
La: 0.539 0.025 0.750
La: 0.625 0.625 0.000
La: 0.625 0.625 0.500
La: 0.890 0.110 0.250
La: 0.975 0.461 0.750
Al: 0.147 0.147 0.000
Al: 0.147 0.147 0.500
Al: 0.381 0.619 0.250
Al: 0.619 0.381 0.750
Al: 0.853 0.853 0.000
Al: 0.853 0.853 0.500
Ni: 0.171 0.829 0.061
Ni: 0.171 0.829 0.439
Ni: 0.829 0.171 0.561
Ni: 0.829 0.171 0.939

=====

6.
LaAl5NiPt: simulated powder X-ray diffraction pattern (copper Kα), based on a DFT-relaxed cell (GGA-PBE, OQMD).
Neutral-atom scattering factors, no anomalous dispersion.

Principal peaks in the range 15 to 90 degrees two-theta, by intensity:
31.06°, d = 2.880 Å, intensity 100
34.44°, d = 2.604 Å, intensity 43
24.74°, d = 3.599 Å, intensity 42
47.69°, d = 1.907 Å, intensity 40
15.26°, d = 5.808 Å, intensity 38
44.64°, d = 2.030 Å, intensity 33

Structure:
a b c (Å): 4.085 7.198 9.832
angles (deg): 90.00 90.00 90.00
Fractional coordinates of all 16 atoms:
La: 0.000 0.000 0.000
La: 0.500 0.500 0.500
Al: 0.000 0.184 0.340
Al: 0.000 0.197 0.650
Al: 0.000 0.500 0.987
Al: 0.000 0.803 0.650
Al: 0.000 0.816 0.340
Al: 0.500 0.000 0.487
Al: 0.500 0.303 0.150
Al: 0.500 0.316 0.840
Al: 0.500 0.684 0.840
Al: 0.500 0.697 0.150
Ni: 0.000 0.500 0.755
Ni: 0.500 0.000 0.255
Pt: 0.000 0.500 0.233
Pt: 0.500 0.000 0.733

=====

7.
La3AlNiS7: simulated powder X-ray diffraction pattern (copper Kα), based on a DFT-relaxed cell (GGA-PBE, OQMD).
Neutral-atom scattering factors, no anomalous dispersion.

Principal peaks in the range 15 to 90 degrees two-theta, by intensity:
25.03°, d = 3.557 Å, intensity 100
35.70°, d = 2.515 Å, intensity 82
40.08°, d = 2.250 Å, intensity 68
34.13°, d = 2.627 Å, intensity 64
17.65°, d = 5.025 Å, intensity 41
47.81°, d = 1.902 Å, intensity 37

Structure:
a b c (Å): 10.072 10.072 6.149
angles (deg): 90.00 90.00 120.00
Fractional coordinates of all 24 atoms:
La: 0.146 0.373 0.000
La: 0.227 0.854 0.000
La: 0.373 0.227 0.500
La: 0.627 0.773 0.000
La: 0.773 0.146 0.500
La: 0.854 0.627 0.500
Al: 0.333 0.667 0.423
Al: 0.667 0.333 0.923
Ni: 0.000 0.000 0.307
Ni: 0.000 0.000 0.807
S: 0.088 0.222 0.567
S: 0.097 0.576 0.280
S: 0.134 0.912 0.567
S: 0.222 0.134 0.067
S: 0.333 0.667 0.786
S: 0.424 0.521 0.280
S: 0.479 0.903 0.280
S: 0.521 0.097 0.780
S: 0.576 0.479 0.780
S: 0.667 0.333 0.286
S: 0.778 0.866 0.567
S: 0.866 0.088 0.067
S: 0.903 0.424 0.780
S: 0.912 0.778 0.067

=====

8.
La2AlSiNi4: simulated powder X-ray diffraction pattern (copper Kα), based on a DFT-relaxed cell (GGA-PBE, OQMD).
Neutral-atom scattering factors, no anomalous dispersion.

Principal peaks in the range 15 to 90 degrees two-theta, by intensity:
37.36°, d = 2.407 Å, intensity 100
43.83°, d = 2.066 Å, intensity 66
26.54°, d = 3.359 Å, intensity 44
24.89°, d = 3.578 Å, intensity 39
58.55°, d = 1.576 Å, intensity 30
58.92°, d = 1.567 Å, intensity 26

Structure:
a b c (Å): 4.131 4.131 9.759
angles (deg): 90.00 90.00 120.00
Fractional coordinates of all 8 atoms:
La: 0.333 0.667 0.252
La: 0.667 0.333 0.748
Al: 0.000 0.000 0.000
Si: 0.000 0.000 0.500
Ni: 0.333 0.667 0.544
Ni: 0.333 0.667 0.953
Ni: 0.667 0.333 0.047
Ni: 0.667 0.333 0.456

=====

What did the seventh record say?
La3AlNiS7: simulated powder X-ray diffraction pattern (copper Kα), based on a DFT-relaxed cell (GGA-PBE, OQMD).
Neutral-atom scattering factors, no anomalous dispersion.

Principal peaks in the range 15 to 90 degrees two-theta, by intensity:
25.03°, d = 3.557 Å, intensity 100
35.70°, d = 2.515 Å, intensity 82
40.08°, d = 2.250 Å, intensity 68
34.13°, d = 2.627 Å, intensity 64
17.65°, d = 5.025 Å, intensity 41
47.81°, d = 1.902 Å, intensity 37

Structure:
a b c (Å): 10.072 10.072 6.149
angles (deg): 90.00 90.00 120.00
Fractional coordinates of all 24 atoms:
La: 0.146 0.373 0.000
La: 0.227 0.854 0.000
La: 0.373 0.227 0.500
La: 0.627 0.773 0.000
La: 0.773 0.146 0.500
La: 0.854 0.627 0.500
Al: 0.333 0.667 0.423
Al: 0.667 0.333 0.923
Ni: 0.000 0.000 0.307
Ni: 0.000 0.000 0.807
S: 0.088 0.222 0.567
S: 0.097 0.576 0.280
S: 0.134 0.912 0.567
S: 0.222 0.134 0.067
S: 0.333 0.667 0.786
S: 0.424 0.521 0.280
S: 0.479 0.903 0.280
S: 0.521 0.097 0.780
S: 0.576 0.479 0.780
S: 0.667 0.333 0.286
S: 0.778 0.866 0.567
S: 0.866 0.088 0.067
S: 0.903 0.424 0.780
S: 0.912 0.778 0.067